Diffraction record for Np2FeIr9. The X-ray powder pattern is computed, not measured: it uses the GGA-PBE geometry in Alexandria and Cu Kα (λ = 1.5418 Å).
Kinematic intensities with the Lorentz-polarization factor, no thermal factor.

Principal peaks in the range 10° ≤ 2θ ≤ 80°, by angle:
2θ/deg	Rel. int.	index
39.20	1000	1 1 3
45.53	335	2 0 0
45.66	154	0 0 6
66.36	110	2 2 0
66.46	204	2 0 6
79.86	261	3 1 3

Structural model:
Lattice parameters (Å, degrees): 3.984 3.984 11.921 90.00 90.00 90.00
Space group P4/mmm (No. 123)
Symmetry-distinct sites (fractional):
Np (0.000, 0.000, 0.173) [2 per cell]
Fe (0.000, 0.000, 0.500) [1 per cell]
Ir (0.000, 0.500, 0.000) [2 per cell]
Ir (0.000, 0.500, 0.344) [4 per cell]
Ir (0.500, 0.500, 0.172) [2 per cell]
Ir (0.500, 0.500, 0.500) [1 per cell]